Structure and simulated powder X-ray diffraction pattern of GdCdCuIr (a structure optimized by DFT (GGA-PBE); Cu Kα, 1.54184 Å).
Kinematic intensities with the Lorentz-polarization factor, no thermal factor.

Atomic structure:
Unit cell a=6.734 b=6.734 c=6.734 alpha=90.00 beta=90.00 gamma=90.00
Element x y z (fractional)
Gd  0.000  0.000  0.000
Gd  0.000  0.500  0.500
Gd  0.500  0.000  0.500
Gd  0.500  0.500  0.000
Cd  0.000  0.000  0.500
Cd  0.000  0.500  0.000
Cd  0.500  0.000  0.000
Cd  0.500  0.500  0.500
Cu  0.250  0.250  0.250
Cu  0.250  0.750  0.750
Cu  0.750  0.250  0.750
Cu  0.750  0.750  0.250
Ir  0.250  0.250  0.750
Ir  0.250  0.750  0.250
Ir  0.750  0.250  0.250
Ir  0.750  0.750  0.750

Top 6 peaks for 5 to 70 degrees two-theta, sorted by position:
| two_theta | intensity | (hkl) |
| --- | --- | --- |
| 22.87 | 134 | 1 1 1 |
| 37.79 | 1000 | 2 2 0 |
| 44.63 | 74 | 3 1 1 |
| 54.51 | 171 | 4 0 0 |
| 59.87 | 33 | 3 3 1 |
| 68.23 | 345 | 4 2 2 |